Ca3Cr3P4O16: theoretical powder XRD pattern (Cu Ka), based on a cell relaxed with GGA+U.
Peak positions follow from Bragg's law for the DFT cell and can differ from measured ones.

The 10 most intense peaks (15 to 90 degrees two-theta), in order of rising 2θ:
2θ/deg, d [Å], intensity, index
26.61, 3.349, 83, 0 1 2
27.09, 3.291, 49, 1 2 -2
30.61, 2.921, 29, 1 -3 0
31.08, 2.877, 28, -2 2 2
31.42, 2.847, 43, -3 1 2
31.62, 2.830, 100, 2 -2 2
33.90, 2.644, 37, 1 1 2
34.35, 2.611, 34, 2 2 -2
35.89, 2.502, 40, 1 1 -4
40.68, 2.218, 25, 1 3 0

Structural model:
```
data_Ca3Cr3P4O16
_space_group_name_H-M_alt 'P 1'
_space_group_IT_number 1
_cell_length_a 9.0960
_cell_length_b 9.1278
_cell_length_c 10.0102
_cell_angle_alpha 104.82
_cell_angle_beta 106.19
_cell_angle_gamma 109.90
loop_
_space_group_symop_operation_xyz
'x,y,z'
loop_
_atom_site_label
_atom_site_fract_x
_atom_site_fract_y
_atom_site_fract_z
_atom_site_occupancy
Ca1 0.0200 0.9995 0.3003 1
Ca2 0.1775 0.6511 0.7109 1
Ca3 0.2280 0.7156 0.2081 1
Ca4 0.7720 0.2844 0.7919 1
Ca5 0.8225 0.3489 0.2891 1
Ca6 0.9800 0.0005 0.6997 1
Cr1 0.4427 0.1915 0.9180 1
Cr2 0.4495 0.1952 0.3848 1
Cr3 0.4541 0.4852 0.2311 1
Cr4 0.5459 0.5148 0.7689 1
Cr5 0.5505 0.8048 0.6152 1
Cr6 0.5573 0.8085 0.0820 1
P1 0.2333 0.4219 0.8918 1
P2 0.2372 0.9387 0.0169 1
P3 0.2591 0.4410 0.4425 1
P4 0.3124 0.9904 0.5755 1
P5 0.6876 0.0096 0.4245 1
P6 0.7409 0.5590 0.5575 1
P7 0.7628 0.0613 0.9831 1
P8 0.7667 0.5781 0.1082 1
O1 0.0582 0.4105 0.8040 1
O2 0.0952 0.4301 0.4595 1
O3 0.1292 0.8875 0.8475 1
O4 0.1323 0.9675 0.5530 1
O5 0.1358 0.9069 0.1158 1
O6 0.2348 0.2473 0.8536 1
O7 0.2595 0.2655 0.3983 1
O8 0.2856 0.5069 0.0643 1
O9 0.2947 0.5259 0.3315 1
O10 0.3254 0.8164 0.0156 1
O11 0.3262 0.9794 0.4200 1
O12 0.3418 0.8449 0.6154 1
O13 0.3705 0.5409 0.8529 1
O14 0.3751 0.1271 0.0877 1
O15 0.4115 0.5640 0.6012 1
O16 0.4541 0.1641 0.7029 1
O17 0.5459 0.8359 0.2971 1
O18 0.5885 0.4360 0.3988 1
O19 0.6249 0.8729 0.9123 1
O20 0.6295 0.4591 0.1471 1
O21 0.6582 0.1551 0.3846 1
O22 0.6738 0.0206 0.5800 1
O23 0.6746 0.1836 0.9844 1
O24 0.7053 0.4741 0.6685 1
O25 0.7144 0.4931 0.9357 1
O26 0.7405 0.7345 0.6017 1
O27 0.7652 0.7527 0.1464 1
O28 0.8642 0.0931 0.8842 1
O29 0.8677 0.0325 0.4470 1
O30 0.8708 0.1125 0.1525 1
O31 0.9048 0.5699 0.5405 1
O32 0.9418 0.5895 0.1960 1
```